[1]
TlSb2Pb6: computed powder XRD pattern (Cu Kα, 1.54184 Å), based on a crystal structure in Alexandria, relaxed with PBE.
Lines closer than 0.1° are merged.

Structural model:
```
data_TlSb2Pb6
_cell_length_a 4.955
_cell_length_b 4.955
_cell_length_c 12.282
_cell_angle_alpha 90.00
_cell_angle_beta 90.00
_cell_angle_gamma 90.00
_symmetry_space_group_name_H-M 'P 4/m m m'
_symmetry_Int_Tables_number 123
_symmetry_space_group_name_Hall '-P 4 2'
loop_
_atom_site_label
_atom_site_fract_x
_atom_site_fract_y
_atom_site_fract_z
Tl1 0.000 0.000 0.000
Sb1 0.500 0.500 0.118
Pb1 0.000 0.000 0.500
Pb2 0.000 0.500 0.289
Pb3 0.500 0.500 0.500
```

Main lines, low angle first (5° ≤ 2θ ≤ 70°):
- 2θ = 7.20°, I = 15
- 2θ = 29.35°, I = 100
- 2θ = 33.67°, I = 32
- 2θ = 36.26°, I = 44
- 2θ = 36.58°, I = 11
- 2θ = 47.14°, I = 10
- 2θ = 52.21°, I = 17
- 2θ = 52.46°, I = 16
- 2θ = 61.03°, I = 26
- 2θ = 63.58°, I = 11

=====

[2]
Tl8SbPb2: computed powder XRD pattern (Cu Kα, 1.54184 Å), based on a crystal structure in Alexandria, relaxed with PBE.
Lines closer than 0.1° are merged.

Structural model:
```
data_Tl8SbPb2
_cell_length_a 5.397
_cell_length_b 8.078
_cell_length_c 16.342
_cell_angle_alpha 90.00
_cell_angle_beta 90.00
_cell_angle_gamma 90.00
_symmetry_space_group_name_H-M 'I m m m'
_symmetry_Int_Tables_number 71
_symmetry_space_group_name_Hall '-I 2 2'
loop_
_atom_site_label
_atom_site_fract_x
_atom_site_fract_y
_atom_site_fract_z
Tl1 0.000 0.000 0.165
Tl2 0.000 0.239 0.346
Tl3 0.000 0.273 0.000
Sb1 0.000 0.500 0.500
Pb1 0.000 0.500 0.176
```

Main lines, low angle first (5° ≤ 2θ ≤ 70°):
- 2θ = 32.19°, I = 100
- 2θ = 32.88°, I = 22
- 2θ = 33.20°, I = 24
- 2θ = 44.89°, I = 10
- 2θ = 47.43°, I = 16
- 2θ = 56.75°, I = 9
- 2θ = 56.96°, I = 10
- 2θ = 58.28°, I = 15
- 2θ = 58.69°, I = 19
- 2θ = 67.35°, I = 11